1.
Na6AgSn2: calculated X-ray powder pattern (a wavelength of 1.5418 Å), based on a crystal structure in Alexandria, relaxed with GGA-PBE.
Kinematic intensities with the Lorentz-polarization factor, no thermal factor.

Crystal structure
```
data_Na6AgSn2
_space_group_name_H-M_alt 'R -3 m'
_space_group_IT_number 166
_space_group_name_Hall '-R 3 2"'
_cell_length_a 5.4391
_cell_length_b 5.4391
_cell_length_c 30.7102
_cell_angle_alpha 90.00
_cell_angle_beta 90.00
_cell_angle_gamma 120.00
loop_
_atom_site_label
_atom_site_type_symbol
_atom_site_fract_x
_atom_site_fract_y
_atom_site_fract_z
Na1 Na 0.0000 0.0000 0.0776
Na2 Na 0.0000 0.0000 0.2003
Na3 Na 0.0000 0.0000 0.3075
Ag1 Ag 0.0000 0.0000 0.5000
Sn1 Sn 0.0000 0.0000 0.4118
```

The 10 most intense peaks (10 to 90 degrees two-theta), low angle first:
19.06°, d 4.656, rel. 100, hkl 1 0 1
19.71°, d 4.503, rel. 35, hkl 0 1 2
32.94°, d 2.720, rel. 86, hkl 1 1 0
34.88°, d 2.573, rel. 45, hkl 1 0 10
37.45°, d 2.402, rel. 37, hkl 0 1 11
38.33°, d 2.348, rel. 17, hkl 0 2 1
48.72°, d 1.869, rel. 17, hkl 0 2 10
48.87°, d 1.864, rel. 24, hkl 1 1 12
58.81°, d 1.570, rel. 16, hkl 3 0 0
60.07°, d 1.540, rel. 18, hkl 2 1 10


2.
LaSO5: calculated X-ray powder pattern (a wavelength of 1.5418 Å), based on a crystal structure in Alexandria, relaxed with GGA-PBE.
Kinematic intensities with the Lorentz-polarization factor, no thermal factor.

Crystal structure
```
data_LaSO5
_space_group_name_H-M_alt 'P 1 21/c 1'
_space_group_IT_number 14
_cell_length_a 4.649
_cell_length_b 13.003
_cell_length_c 7.172
_cell_angle_alpha 90.00
_cell_angle_beta 111.74
_cell_angle_gamma 90.00
loop_
_space_group_symop_operation_xyz
'x,y,z'
'-x,-y,-z'
'-x,y+1/2,-z+1/2'
'x,-y+1/2,z+1/2'
loop_
_atom_site_label
_atom_site_type_symbol
_atom_site_fract_x
_atom_site_fract_y
_atom_site_fract_z
La1 La 0.156 0.070 0.302
S1 S 0.392 0.144 0.879
O1 O 0.184 0.073 0.937
O2 O 0.234 0.243 0.810
O3 O 0.271 0.562 0.066
O4 O 0.316 0.658 0.451
O5 O 0.451 0.095 0.704
```

The 10 most intense peaks (10 to 90 degrees two-theta), low angle first:
13.62°, d 6.502, rel. 100, hkl 0 2 0
19.07°, d 4.653, rel. 51, hkl 0 2 1
21.68°, d 4.099, rel. 53, hkl 1 1 0
24.22°, d 3.675, rel. 58, hkl 1 2 -1
27.08°, d 3.292, rel. 71, hkl 1 0 -2
29.19°, d 3.059, rel. 50, hkl 1 3 0
29.32°, d 3.046, rel. 41, hkl 1 1 1
30.60°, d 2.922, rel. 65, hkl 0 4 1
39.42°, d 2.286, rel. 42, hkl 2 1 -1
47.58°, d 1.911, rel. 39, hkl 1 4 -3


Repeat the second record exactly.
LaSO5: calculated X-ray powder pattern (a wavelength of 1.5418 Å), based on a crystal structure in Alexandria, relaxed with GGA-PBE.
Kinematic intensities with the Lorentz-polarization factor, no thermal factor.

Crystal structure
```
data_LaSO5
_space_group_name_H-M_alt 'P 1 21/c 1'
_space_group_IT_number 14
_cell_length_a 4.649
_cell_length_b 13.003
_cell_length_c 7.172
_cell_angle_alpha 90.00
_cell_angle_beta 111.74
_cell_angle_gamma 90.00
loop_
_space_group_symop_operation_xyz
'x,y,z'
'-x,-y,-z'
'-x,y+1/2,-z+1/2'
'x,-y+1/2,z+1/2'
loop_
_atom_site_label
_atom_site_type_symbol
_atom_site_fract_x
_atom_site_fract_y
_atom_site_fract_z
La1 La 0.156 0.070 0.302
S1 S 0.392 0.144 0.879
O1 O 0.184 0.073 0.937
O2 O 0.234 0.243 0.810
O3 O 0.271 0.562 0.066
O4 O 0.316 0.658 0.451
O5 O 0.451 0.095 0.704
```

The 10 most intense peaks (10 to 90 degrees two-theta), low angle first:
13.62°, d 6.502, rel. 100, hkl 0 2 0
19.07°, d 4.653, rel. 51, hkl 0 2 1
21.68°, d 4.099, rel. 53, hkl 1 1 0
24.22°, d 3.675, rel. 58, hkl 1 2 -1
27.08°, d 3.292, rel. 71, hkl 1 0 -2
29.19°, d 3.059, rel. 50, hkl 1 3 0
29.32°, d 3.046, rel. 41, hkl 1 1 1
30.60°, d 2.922, rel. 65, hkl 0 4 1
39.42°, d 2.286, rel. 42, hkl 2 1 -1
47.58°, d 1.911, rel. 39, hkl 1 4 -3